1.
# Li2AlGaNi2Pd2
Computed X-ray powder pattern, Cu Kα (weighted mean of Kα1 and Kα2). Input: DFT lattice parameters and positions (PBE).

The 10 most intense peaks (15° ≤ 2θ ≤ 90°), sorted by position:
h k l, 2theta, I (rel.)
1 0 1, 26.30, 197
1 1 0, 30.46, 365
2 0 0, 43.61, 1000
2 1 1, 51.65, 92
2 0 2, 54.12, 91
2 2 0, 63.38, 158
3 0 1, 69.85, 38
3 1 0, 71.94, 112
3 1 2, 80.09, 314
3 2 1, 86.07, 30

Crystal structure
Cell lengths 4.150, 4.150, 5.872 Å; angles 90.00, 90.00, 90.00 degrees
Space group P-4m2 (No. 115)
Inequivalent atoms, fractional coordinates:
Li1 0.000 0.000 0.000 [1 per cell]
Li2 0.500 0.500 0.500 [1 per cell]
Al1 0.000 0.000 0.500 [1 per cell]
Ga1 0.500 0.500 0.000 [1 per cell]
Ni1 0.000 0.500 0.750 [2 per cell]
Pd1 0.000 0.500 0.252 [2 per cell]



2.
# Li4AlGa2Pd
Computed X-ray powder pattern, Cu Kα (weighted mean of Kα1 and Kα2). Input: DFT lattice parameters and positions (PBE).

The 10 most intense peaks (15° ≤ 2θ ≤ 90°), sorted by position:
h k l, 2theta, I (rel.)
1 0 0, 20.57, 155
1 0 1, 25.13, 1000
1 1 2, 41.50, 688
2 0 0, 41.84, 339
1 0 3, 48.83, 157
2 1 1, 49.43, 308
2 2 0, 60.66, 110
2 1 3, 66.22, 122
2 0 4, 75.47, 109
3 1 2, 76.18, 218

Crystal structure
Cell lengths 4.318, 4.318, 6.204 Å; angles 90.00, 90.00, 90.00 degrees
Space group P-4m2 (No. 115)
Inequivalent atoms, fractional coordinates:
Li1 0.000 0.000 0.000 [1 per cell]
Li2 0.000 0.500 0.740 [2 per cell]
Li3 0.500 0.500 0.500 [1 per cell]
Al1 0.500 0.500 0.000 [1 per cell]
Ga1 0.000 0.500 0.260 [2 per cell]
Pd1 0.000 0.000 0.500 [1 per cell]



3.
# Li4AlZn2Ga
Computed X-ray powder pattern, Cu Kα (weighted mean of Kα1 and Kα2). Input: DFT lattice parameters and positions (PBE).

The 10 most intense peaks (15° ≤ 2θ ≤ 90°), sorted by position:
h k l, 2theta, I (rel.)
1 0 1, 25.17, 1000
2 0 0, 41.61, 350
1 1 2, 41.72, 694
2 1 1, 49.25, 311
1 0 3, 49.44, 154
2 2 0, 60.30, 112
2 1 3, 66.55, 120
3 1 2, 76.00, 218
2 0 4, 76.23, 108
3 2 1, 81.47, 66

Crystal structure
Cell lengths 4.341, 4.341, 6.108 Å; angles 90.00, 90.00, 90.00 degrees
Space group P-4m2 (No. 115)
Inequivalent atoms, fractional coordinates:
Li1 0.000 0.000 0.000 [1 per cell]
Li2 0.000 0.500 0.244 [2 per cell]
Li3 0.500 0.500 0.500 [1 per cell]
Al1 0.000 0.000 0.500 [1 per cell]
Zn1 0.000 0.500 0.750 [2 per cell]
Ga1 0.500 0.500 0.000 [1 per cell]



4.
# AlGaW4N2
Computed X-ray powder pattern, Cu Kα (weighted mean of Kα1 and Kα2). Input: DFT lattice parameters and positions (PBE).

The 10 most intense peaks (15° ≤ 2θ ≤ 90°), sorted by position:
h k l, 2theta, I (rel.)
0 0 4, 23.97, 263
0 0 6, 36.29, 232
1 0 0, 36.55, 216
1 0 1, 37.07, 211
1 0 3, 40.99, 1000
1 0 6, 52.46, 151
1 0 7, 57.36, 193
1 1 0, 65.80, 186
1 1 6, 77.53, 159
2 0 3, 80.51, 142

Crystal structure
Cell lengths 2.8387, 2.8387, 14.8525 Å; angles 90.00, 90.00, 120.00 degrees
Space group P-6m2 (No. 187)
Inequivalent atoms, fractional coordinates:
Al1 0.0000 0.0000 0.0000 [1 per cell]
Ga1 0.3333 0.6667 0.5000 [1 per cell]
W1 0.0000 0.0000 0.3486 [2 per cell]
W2 0.3333 0.6667 0.1525 [2 per cell]
N1 0.6667 0.3333 0.2509 [2 per cell]



5.
# Na2Zr2AlGaNi2
Computed X-ray powder pattern, Cu Kα (weighted mean of Kα1 and Kα2). Input: DFT lattice parameters and positions (PBE).

The 10 most intense peaks (15° ≤ 2θ ≤ 90°), sorted by position:
h k l, 2theta, I (rel.)
1 0 1, 24.18, 167
0 0 2, 27.99, 70
2 0 0, 40.00, 1000
2 1 1, 47.29, 78
2 2 0, 57.86, 161
3 0 1, 63.63, 31
1 1 4, 65.48, 27
3 1 2, 72.66, 313
3 2 1, 77.86, 23
4 0 0, 86.33, 97

Crystal structure
Cell lengths 4.507, 4.507, 6.377 Å; angles 90.00, 90.00, 90.00 degrees
Space group P-4m2 (No. 115)
Inequivalent atoms, fractional coordinates:
Na1 0.000 0.500 0.247 [2 per cell]
Zr1 0.000 0.000 0.000 [1 per cell]
Zr2 0.500 0.500 0.500 [1 per cell]
Al1 0.000 0.000 0.500 [1 per cell]
Ga1 0.500 0.500 0.000 [1 per cell]
Ni1 0.000 0.500 0.747 [2 per cell]



6.
# Nb2AlGaPd2
Computed X-ray powder pattern, Cu Kα (weighted mean of Kα1 and Kα2). Input: DFT lattice parameters and positions (PBE).

The 10 most intense peaks (15° ≤ 2θ ≤ 90°), sorted by position:
h k l, 2theta, I (rel.)
1 1 1, 25.52, 563
2 0 2, 29.55, 30
4 1 0, 42.29, 1000
5 0 1, 50.04, 259
2 2 2, 52.43, 7
4 0 4, 61.34, 162
5 2 1, 67.54, 103
6 1 2, 69.54, 9
8 0 0, 77.33, 323
5 1 5, 83.00, 77

Crystal structure
Cell lengths 10.471, 4.274, 10.472 Å; angles 90.00, 109.47, 90.00 degrees
Space group Pm (No. 6)
Inequivalent atoms, fractional coordinates:
Nb1 0.000 0.000 0.000 [1 per cell]
Nb2 0.124 0.500 0.375 [1 per cell]
Nb3 0.250 0.000 0.750 [1 per cell]
Nb4 0.375 0.500 0.124 [1 per cell]
Nb5 0.499 0.000 0.501 [1 per cell]
Nb6 0.624 0.500 0.875 [1 per cell]
Nb7 0.749 0.000 0.248 [1 per cell]
Nb8 0.875 0.500 0.626 [1 per cell]
Al1 0.250 0.000 0.250 [1 per cell]
Al2 0.625 0.500 0.375 [1 per cell]
Al3 0.750 0.000 0.749 [1 per cell]
Al4 0.999 0.000 0.500 [1 per cell]
Ga1 0.124 0.500 0.875 [1 per cell]
Ga2 0.374 0.500 0.624 [1 per cell]
Ga3 0.500 0.000 0.000 [1 per cell]
Ga4 0.875 0.500 0.125 [1 per cell]
Pd1 0.127 0.500 0.126 [1 per cell]
Pd2 0.247 0.000 0.499 [1 per cell]
Pd3 0.374 0.500 0.874 [1 per cell]
Pd4 0.500 0.000 0.252 [1 per cell]
Pd5 0.626 0.500 0.625 [1 per cell]
Pd6 0.750 0.000 0.998 [1 per cell]
Pd7 0.874 0.500 0.376 [1 per cell]
Pd8 0.999 0.000 0.749 [1 per cell]



7.
# TmNb2AlGa3
Computed X-ray powder pattern, Cu Kα (weighted mean of Kα1 and Kα2). Input: DFT lattice parameters and positions (PBE).

The 10 most intense peaks (15° ≤ 2θ ≤ 90°), sorted by position:
h k l, 2theta, I (rel.)
1 1 1, 20.66, 267
0 2 2, 26.39, 236
1 3 1, 33.74, 975
2 0 2, 37.36, 1000
0 0 4, 37.67, 841
2 2 2, 42.03, 221
1 3 3, 43.35, 625
2 4 2, 54.09, 386
3 3 1, 58.30, 202
2 6 4, 80.24, 273

Crystal structure
Cell lengths 5.574, 9.564, 9.540 Å; angles 90.00, 90.00, 90.00 degrees
Space group Fmm2 (No. 42)
Inequivalent atoms, fractional coordinates:
Tm1 0.000 0.000 0.000 [4 per cell]
Nb1 0.250 0.250 0.249 [8 per cell]
Al1 0.000 0.000 0.694 [4 per cell]
Ga1 0.000 0.000 0.303 [4 per cell]
Ga2 0.000 0.196 0.500 [8 per cell]



8.
# Nd2Al3Ga3
Computed X-ray powder pattern, Cu Kα (weighted mean of Kα1 and Kα2). Input: DFT lattice parameters and positions (PBE).

The 10 most intense peaks (15° ≤ 2θ ≤ 90°), sorted by position:
h k l, 2theta, I (rel.)
0 1 1, 25.16, 755
1 0 -2, 27.34, 144
2 0 -1, 27.42, 215
0 0 2, 31.64, 280
2 1 0, 37.47, 1000
2 1 -2, 37.59, 538
0 2 0, 39.72, 317
2 2 -1, 48.92, 148
0 2 2, 51.64, 139
2 3 -2, 70.63, 234

Crystal structure
Cell lengths 6.506, 4.539, 6.518 Å; angles 90.00, 119.72, 90.00 degrees
Space group Pm (No. 6)
Inequivalent atoms, fractional coordinates:
Nd1 0.000 0.000 0.000 [1 per cell]
Nd2 0.333 0.500 0.671 [1 per cell]
Al1 0.386 0.500 0.199 [1 per cell]
Al2 0.527 0.000 0.473 [1 per cell]
Al3 0.808 0.500 0.199 [1 per cell]
Ga1 0.524 0.000 0.049 [1 per cell]
Ga2 0.807 0.500 0.624 [1 per cell]
Ga3 0.954 0.000 0.475 [1 per cell]